# Mg3Fe4O7
Theoretical powder diffractogram, Cu Kα. Input: a GGA+U-relaxed structure.

Crystal structure
```
data_Mg3Fe4O7
_cell_length_a 4.405
_cell_length_b 21.363
_cell_length_c 3.046
_cell_angle_alpha 90.00
_cell_angle_beta 90.00
_cell_angle_gamma 90.00
_symmetry_space_group_name_H-M 'I m m 2'
_symmetry_Int_Tables_number 44
loop_
_symmetry_equiv_pos_as_xyz
'x,y,z'
'-x,-y,z'
'-x,y,z'
'x,-y,z'
'x+1/2,y+1/2,z+1/2'
'-x+1/2,-y+1/2,z+1/2'
'-x+1/2,y+1/2,z+1/2'
'x+1/2,-y+1/2,z+1/2'
loop_
_atom_site_label
_atom_site_type_symbol
_atom_site_fract_x
_atom_site_fract_y
_atom_site_fract_z
Mg1 Mg 0.000 0.000 0.000
Mg2 Mg 0.000 0.141 0.007
Fe1 Fe 0.000 0.284 0.987
Fe2 Fe 0.000 0.428 0.003
O1 O 0.000 0.071 0.503
O2 O 0.000 0.211 0.512
O3 O 0.000 0.356 0.470
O4 O 0.000 0.500 0.533
```

Peak list (8 most intense, 2θ from 15° to 90°, by angle)
- hkl 1 1 0, 2θ 20.6, rel. 19
- hkl 1 0 1, 2θ 35.8, rel. 69
- hkl 2 0 0, 2θ 41.0, rel. 54
- hkl 0 7 1, 2θ 41.9, rel. 100
- hkl 2 7 1, 2θ 60.1, rel. 61
- hkl 0 14 0, 2θ 60.7, rel. 14
- hkl 0 0 2, 2θ 60.8, rel. 14
- hkl 1 7 2, 2θ 72.6, rel. 19